Theoretical PXRD pattern
Compound: Pm3Y13
Radiation: Cu Kα (weighted mean of Kα1 and Kα2)
Structure: a structure optimized by DFT (GGA-PBE)

Structure:
Cell lengths 7.336, 8.519, 8.519 Å; angles 83.94, 90.00, 90.00 degrees
Atoms (fractional coordinates):
Pm1 0.000 0.000 0.000
Pm2 0.251 0.749 0.749
Pm3 0.749 0.749 0.749
Y1 0.000 0.415 0.917
Y2 0.000 0.498 0.498
Y3 0.000 0.917 0.415
Y4 0.250 0.168 0.665
Y5 0.250 0.250 0.250
Y6 0.250 0.665 0.168
Y7 0.500 0.000 0.000
Y8 0.500 0.416 0.918
Y9 0.500 0.499 0.499
Y10 0.500 0.918 0.416
Y11 0.750 0.168 0.665
Y12 0.750 0.250 0.250
Y13 0.750 0.665 0.168

The 8 most intense peaks (2θ = 5–70°), most intense first:
d [Å]  2theta  intensity
2.771  32.30  100
3.172  28.13  25
2.848  31.41  24
1.629  56.48  20
2.119  42.66  16
1.540  60.10  15
1.830  49.83  13
1.529  60.56  10